(1)
For DyRe, DFT lattice parameters and positions (GGA-PBE) gives the theoretical powder diffraction line list in this record (copper Kα).

Cell and atoms:
Cell: 4.6565 3.9552 5.7347 Å, 90.00 113.82 90.00°
Positions (direct):
Dy  0.1415  0.2500  0.2847
Dy  0.8585  0.7500  0.7153
Re  0.4377  0.2500  0.8729
Re  0.5623  0.7500  0.1271

Top 12 peaks for 2θ = 5–70°, sorted by position:
d [Å], 2θ (°), intensity
5.246, 16.90, 24
4.256, 20.87, 16
2.897, 30.86, 100
2.797, 32.00, 52
2.328, 38.67, 42
2.283, 39.46, 79
2.186, 41.30, 37
1.978, 45.89, 26
1.615, 57.04, 20
1.599, 57.63, 14
1.592, 57.92, 14
1.507, 61.52, 22

---

(2)
For BSbSe, DFT lattice parameters and positions (GGA-PBE) gives the theoretical powder diffraction line list in this record (copper Kα).

Cell and atoms:
Cell: 5.9330 6.1204 6.7888 Å, 90.38 100.32 115.93°
Positions (direct):
B  0.0000  0.0000  0.0000
B  0.0049  0.1836  0.8355
Sb  0.1171  0.6987  0.0419
Sb  0.4560  0.1883  0.9728
Se  0.2210  0.1380  0.2788
Se  0.9222  0.3834  0.6610

Top 12 peaks for 2θ = 5–70°, sorted by position:
d [Å], 2θ (°), intensity
6.648, 13.32, 100
5.479, 16.18, 26
5.225, 16.97, 47
5.076, 17.47, 70
3.840, 23.16, 70
3.756, 23.69, 30
2.929, 30.52, 39
2.620, 34.22, 40
2.517, 35.68, 37
2.451, 36.66, 28
2.218, 40.67, 28
2.129, 42.45, 29

---

(3)
For TbNd8Sb6, DFT lattice parameters and positions (GGA-PBE) gives the theoretical powder diffraction line list in this record (copper Kα).

Cell and atoms:
Cell: 9.8427 9.8427 9.8427 Å, 49.24 49.24 49.24°
Positions (direct):
Tb  0.0000  0.0000  0.0000
Nd  0.1201  0.4596  0.7843
Nd  0.2157  0.8799  0.5404
Nd  0.3333  0.3333  0.3333
Nd  0.4596  0.7843  0.1201
Nd  0.5404  0.2157  0.8799
Nd  0.6667  0.6667  0.6667
Nd  0.7843  0.1201  0.4596
Nd  0.8799  0.5404  0.2157
Sb  0.0671  0.7382  0.3937
Sb  0.2618  0.6063  0.9329
Sb  0.3937  0.0671  0.7382
Sb  0.6063  0.9329  0.2618
Sb  0.7382  0.3937  0.0671
Sb  0.9329  0.2618  0.6063

Top 12 peaks for 2θ = 5–70°, sorted by position:
d [Å], 2θ (°), intensity
4.101, 21.67, 7
3.704, 24.03, 35
2.972, 30.06, 100
2.368, 38.01, 58
2.355, 38.22, 20
1.909, 47.63, 18
1.852, 49.20, 25
1.486, 62.49, 8
1.459, 63.81, 23
1.395, 67.12, 12
1.367, 68.66, 10
1.364, 68.81, 7

---

(4)
For Tl4CuBr, DFT lattice parameters and positions (GGA-PBE) gives the theoretical powder diffraction line list in this record (copper Kα).

Cell and atoms:
Cell: 6.4920 6.4920 6.4920 Å, 60.00 60.00 60.00°
Positions (direct):
Tl  0.1253  0.1253  0.1253
Tl  0.1253  0.1253  0.6241
Tl  0.1253  0.6241  0.1253
Tl  0.6241  0.1253  0.1253
Cu  0.5000  0.5000  0.5000
Br  0.7500  0.7500  0.7500

Top 12 peaks for 2θ = 5–70°, sorted by position:
d [Å], 2θ (°), intensity
5.301, 16.73, 53
3.246, 27.48, 7
2.768, 32.34, 100
2.650, 33.82, 73
2.295, 39.25, 24
2.106, 42.94, 16
1.874, 48.58, 3
1.767, 51.74, 36
1.623, 56.72, 36
1.552, 59.57, 12
1.400, 66.82, 12
1.384, 67.69, 31

---

(5)
For Sm2Dy5Th, DFT lattice parameters and positions (GGA-PBE) gives the theoretical powder diffraction line list in this record (copper Kα).

Cell and atoms:
Cell: 7.1304 14.2831 5.0617 Å, 90.00 90.00 90.00°
Positions (direct):
Sm  0.2471  0.1233  0.0000
Sm  0.2529  0.6233  0.0000
Sm  0.7471  0.3767  0.0000
Sm  0.7529  0.8767  0.0000
Dy  0.0000  0.5000  0.5000
Dy  0.0040  0.2488  0.5000
Dy  0.2420  0.8773  0.0000
Dy  0.2580  0.3773  0.0000
Dy  0.4960  0.7488  0.5000
Dy  0.5000  0.0000  0.5000
Dy  0.5040  0.2512  0.5000
Dy  0.7420  0.6227  0.0000
Dy  0.7580  0.1227  0.0000
Dy  0.9960  0.7512  0.5000
Th  0.0000  0.0000  0.5000
Th  0.5000  0.5000  0.5000

Top 10 peaks for 2θ = 5–70°, sorted by position:
d [Å], 2θ (°), intensity
7.142, 12.39, 1
6.380, 13.88, 1
2.916, 30.66, 100
2.531, 35.47, 17
2.523, 35.58, 34
1.787, 51.13, 30
1.783, 51.25, 6
1.525, 60.72, 14
1.522, 60.87, 28
1.458, 63.84, 12